No. 1
# UBiCl6
Computed powder X-ray diffraction pattern, Cu Ka. Input: a cell relaxed with PBE.
No peak broadening, texture or thermal motion is included.

Principal peaks in the range 5 to 70 degrees two-theta, sorted by position:
hkl  2θ (°)  I/Imax
1 1 1  17.64  100
0 1 2  24.04  46
2 1 0  26.02  21
2 1 -1  29.68  11
2 2 0  31.62  22
0 2 0  35.72  19
1 2 3  38.78  43
1 0 -3  41.02  12
3 1 -1  41.39  23
3 2 -1  44.72  19
3 3 1  45.91  19
4 2 2  61.62  11

Structure:
a = 6.846 Å, b = 6.848 Å, c = 7.451 Å
α = 62.66°, β = 89.98°, γ = 60.02°
Atoms (fractional coordinates):
U 0.000 0.000 0.000
Bi 0.500 0.000 0.500
Cl 0.090 0.158 0.248
Cl 0.249 0.157 0.753
Cl 0.405 0.504 0.247
Cl 0.595 0.496 0.753
Cl 0.751 0.843 0.247
Cl 0.910 0.842 0.752


No. 2
# ZnBi2Cl
Computed powder X-ray diffraction pattern, Cu Ka. Input: a cell relaxed with PBE.
No peak broadening, texture or thermal motion is included.

Principal peaks in the range 5 to 70 degrees two-theta, sorted by position:
hkl  2θ (°)  I/Imax
0 0 4  16.26  47
1 1 2  28.31  100
0 0 8  32.87  27
1 1 6  36.84  51
2 0 0  38.67  10
2 0 4  42.21  50
1 1 10  50.19  24
2 2 0  55.84  10
3 1 2  63.78  17
2 0 12  65.13  14
2 2 8  66.37  21
3 1 6  68.79  14

Structure:
a = 4.657 Å, b = 4.657 Å, c = 21.800 Å
α = 90.00°, β = 90.00°, γ = 90.00°
Atoms (fractional coordinates):
Zn 0.000 0.000 0.000
Zn 0.000 0.500 0.250
Zn 0.500 0.000 0.750
Zn 0.500 0.500 0.500
Bi 0.212 0.250 0.125
Bi 0.250 0.712 0.375
Bi 0.250 0.788 0.875
Bi 0.288 0.250 0.625
Bi 0.712 0.750 0.625
Bi 0.750 0.212 0.875
Bi 0.750 0.288 0.375
Bi 0.788 0.750 0.125
Cl 0.000 0.000 0.500
Cl 0.000 0.500 0.750
Cl 0.500 0.000 0.250
Cl 0.500 0.500 0.000


No. 3
# CoBi4
Computed powder X-ray diffraction pattern, Cu Ka. Input: a cell relaxed with PBE.
No peak broadening, texture or thermal motion is included.

Principal peaks in the range 5 to 70 degrees two-theta, sorted by position:
hkl  2θ (°)  I/Imax
1 0 0  12.75  15
2 0 0  25.67  20
0 0 2  30.01  26
2 1 1  32.53  100
2 0 2  39.89  22
3 1 0  41.12  13
3 1 1  43.96  8
3 1 2  51.74  7
2 1 3  54.90  24
3 3 0  56.22  7
4 1 1  56.83  21
3 3 2  65.04  12

Structure:
a = 6.942 Å, b = 6.942 Å, c = 5.955 Å
α = 90.00°, β = 90.00°, γ = 90.00°
Atoms (fractional coordinates):
Co 0.000 0.000 0.250
Co 0.000 0.000 0.750
Bi 0.154 0.308 0.000
Bi 0.154 0.692 0.500
Bi 0.308 0.154 0.500
Bi 0.308 0.846 0.000
Bi 0.692 0.154 0.000
Bi 0.692 0.846 0.500
Bi 0.846 0.308 0.500
Bi 0.846 0.692 0.000


No. 4
# Cr2CoBi
Computed powder X-ray diffraction pattern, Cu Ka. Input: a cell relaxed with PBE.
No peak broadening, texture or thermal motion is included.

Principal peaks in the range 5 to 70 degrees two-theta, sorted by position:
hkl  2θ (°)  I/Imax
1 0 1  20.45  34
2 0 0  25.46  49
2 1 1  32.88  55
2 2 0  36.32  78
1 1 2  37.21  100
3 0 1  42.04  20
1 0 3  51.17  8
4 0 0  52.30  24
3 1 2  52.97  68
4 2 0  59.05  17
3 3 2  65.93  17
4 3 1  69.26  11

Structure:
a = 6.997 Å, b = 6.997 Å, c = 5.538 Å
α = 90.00°, β = 90.00°, γ = 90.00°
Atoms (fractional coordinates):
Cr 0.189 0.250 0.125
Cr 0.250 0.689 0.375
Cr 0.250 0.811 0.875
Cr 0.311 0.250 0.625
Cr 0.689 0.750 0.625
Cr 0.750 0.189 0.875
Cr 0.750 0.311 0.375
Cr 0.811 0.750 0.125
Co 0.000 0.000 0.000
Co 0.000 0.500 0.250
Co 0.500 0.000 0.750
Co 0.500 0.500 0.500
Bi 0.000 0.000 0.500
Bi 0.000 0.500 0.750
Bi 0.500 0.000 0.250
Bi 0.500 0.500 0.000